# 1
Structure and simulated powder X-ray diffraction pattern of Rb3NiCl5 (the GGA-PBE geometry in Alexandria; Cu Kα, 1.54184 Å).
Peak positions follow from Bragg's law for the DFT cell and can differ from measured ones.

Principal peaks in the range 2θ = 10–90°, by intensity:
2θ/deg  I/Imax
29.00  100
23.42  59
31.77  45
28.34  31
42.37  23
37.77  23
24.44  21
52.37  16
45.56  16
56.04  14

Structure:
Lattice parameters (Å, degrees): 9.6282 9.6282 9.6282 124.91 124.91 81.68
Fractional coordinates of all 18 atoms:
Rb 0.1665 0.6665 0.8330
Rb 0.2500 0.2500 0.0000
Rb 0.3335 0.1665 0.5000
Rb 0.6665 0.8335 0.5000
Rb 0.7500 0.7500 0.0000
Rb 0.8335 0.3335 0.1670
Ni 0.2500 0.7500 0.5000
Ni 0.7500 0.2500 0.5000
Cl 0.0000 0.0000 0.0000
Cl 0.0147 0.7865 0.5000
Cl 0.2135 0.7135 0.2281
Cl 0.2865 0.5147 0.5000
Cl 0.4853 0.9853 0.7719
Cl 0.5000 0.5000 0.0000
Cl 0.5147 0.0147 0.2281
Cl 0.7135 0.4853 0.5000
Cl 0.7865 0.2865 0.7719
Cl 0.9853 0.2135 0.5000

***

# 2
Structure and simulated powder X-ray diffraction pattern of Zr3NbSb4 (the GGA-PBE geometry in Alexandria; Cu Kα, 1.54184 Å).
Peak positions follow from Bragg's law for the DFT cell and can differ from measured ones.

Principal peaks in the range 2θ = 10–90°, by intensity:
2θ/deg  I/Imax
37.45  100
32.65  96
61.46  45
46.85  34
44.37  19
65.62  17
84.45  17
29.20  15
80.69  10
56.17  10

Structure:
Lattice parameters (Å, degrees): 5.4907 10.9584 6.1170 90.00 90.00 90.00
Fractional coordinates of all 16 atoms:
Zr 0.2500 0.0017 0.1570
Zr 0.2500 0.4983 0.1570
Zr 0.2500 0.7500 0.8417
Zr 0.7500 0.2500 0.1583
Zr 0.7500 0.5017 0.8430
Zr 0.7500 0.9983 0.8430
Nb 0.2500 0.2500 0.8424
Nb 0.7500 0.7500 0.1576
Sb 0.2500 0.0051 0.6711
Sb 0.2500 0.2500 0.3292
Sb 0.2500 0.4949 0.6711
Sb 0.2500 0.7500 0.3284
Sb 0.7500 0.2500 0.6716
Sb 0.7500 0.5051 0.3289
Sb 0.7500 0.7500 0.6708
Sb 0.7500 0.9949 0.3289